# Np3P4Ru7
Calculated X-ray diffraction stick pattern, a wavelength of 1.5418 Å. Input: a cell relaxed with GGA-PBE.
Kinematic intensities with the Lorentz-polarization factor, no thermal factor.

Cell and atoms:
Lattice parameters (Å, degrees): 14.950 3.938 9.129 90.00 125.19 90.00
Space group C2/m (No. 12)
Unique sites:
Np (0.000, 0.000, 0.000) x2
Np (0.177, 0.500, 0.678) x4
P (0.110, 0.000, 0.833) x4
P (0.162, 0.500, 0.277) x4
Ru (0.000, 0.000, 0.500) x2
Ru (0.003, 0.500, 0.279) x4
Ru (0.164, 0.000, 0.428) x4
Ru (0.200, 0.500, 0.054) x4

Principal peaks in the range 15° ≤ 2θ ≤ 90°, sorted by position:
24.31 deg, d 3.662, I 206
24.62 deg, d 3.615, I 292
31.60 deg, d 2.831, I 299
36.11 deg, d 2.487, I 204
36.88 deg, d 2.437, I 1000
37.37 deg, d 2.407, I 379
37.66 deg, d 2.389, I 221
37.89 deg, d 2.374, I 653
39.52 deg, d 2.280, I 237
44.49 deg, d 2.036, I 285
46.10 deg, d 1.969, I 382
66.00 deg, d 1.416, I 187